This entry pairs a crystal structure of Sr3Zn3Cu2 with its calculated XRD peak list. Radiation: Cu Kα (λ = 1.5418 Å). Structure: the GGA-PBE geometry in Alexandria.
Neutral-atom scattering factors, no anomalous dispersion.

The 8 most intense peaks (10° ≤ 2θ ≤ 90°), sorted by position:
| 2θ (°) | I_rel | hkl |
| --- | --- | --- |
| 28.96 | 17 | 1 4 1 |
| 31.23 | 60 | 2 4 0 |
| 31.80 | 37 | 1 1 2 |
| 33.95 | 27 | 0 6 0 |
| 34.58 | 46 | 2 4 1 |
| 35.66 | 100 | 3 0 1 |
| 38.84 | 28 | 1 4 2 |
| 55.45 | 18 | 2 4 3 |

Structure:
```
data_Sr3Zn3Cu2
_symmetry_space_group_name_H-M 'P n m a'
_symmetry_Int_Tables_number 62
_symmetry_space_group_name_Hall '-P 2ac 2n'
_cell_length_a 8.3097
_cell_length_b 15.8432
_cell_length_c 6.0920
_cell_angle_alpha 90.00
_cell_angle_beta 90.00
_cell_angle_gamma 90.00
loop_
_atom_site_label
_atom_site_type_symbol
_atom_site_fract_x
_atom_site_fract_y
_atom_site_fract_z
Sr1 Sr 0.0435 0.1050 0.1305
Sr2 Sr 0.1824 0.2500 0.6261
Zn1 Zn 0.1639 0.7500 0.5972
Zn2 Zn 0.1765 0.0392 0.6145
Cu1 Cu 0.1132 0.5989 0.3825
```